Starting from a GGA-PBE-relaxed structure, the PXRD pattern of Ce4InIr2 was simulated for CuKα.
Peak positions follow from Bragg's law for the DFT cell and can differ from measured ones.

Atomic structure:
Cell lengths 13.2775, 13.2775, 13.2775 Å; angles 17.94, 17.94, 17.94 degrees
Fractional coordinates of all 7 atoms:
Ce 0.1062 0.1062 0.1062
Ce 0.3034 0.3034 0.3034
Ce 0.6966 0.6966 0.6966
Ce 0.8938 0.8938 0.8938
In 0.5000 0.5000 0.5000
Ir 0.3996 0.3996 0.3996
Ir 0.6004 0.6004 0.6004

Most intense lines, 10° ≤ 2θ ≤ 90°, sorted by position:
2theta	Rel. int.
13.56	170
24.94	181
26.47	253
27.35	143
33.89	1000
35.53	151
43.73	520
53.28	236
56.44	253
74.00	263


Starting from a GGA-PBE-relaxed structure, the PXRD pattern of PmPu2Pd3 was simulated for CuKα.
Peak positions follow from Bragg's law for the DFT cell and can differ from measured ones.

Atomic structure:
Cell lengths 3.5223, 3.5223, 10.8013 Å; angles 90.00, 90.00, 90.00 degrees
Fractional coordinates of all 6 atoms:
Pm 0.0000 0.0000 0.0000
Pu 0.0000 0.0000 0.3368
Pu 0.0000 0.0000 0.6632
Pd 0.5000 0.5000 0.1672
Pd 0.5000 0.5000 0.5000
Pd 0.5000 0.5000 0.8328

Most intense lines, 10° ≤ 2θ ≤ 90°, sorted by position:
2theta	Rel. int.
25.29	110
35.66	1000
36.06	486
50.71	92
51.92	173
63.79	185
64.58	359
75.52	114
85.47	83
87.36	81


Starting from a GGA-PBE-relaxed structure, the PXRD pattern of Ac2Al3GePd4 was simulated for CuKα.
Peak positions follow from Bragg's law for the DFT cell and can differ from measured ones.

Atomic structure:
Cell lengths 4.5184, 4.5184, 10.2145 Å; angles 90.00, 90.00, 90.00 degrees
Fractional coordinates of all 10 atoms:
Ac 0.0000 0.5000 0.2481
Ac 0.5000 0.0000 0.7519
Al 0.0000 0.0000 0.0000
Al 0.0000 0.5000 0.6159
Al 0.5000 0.0000 0.3841
Ge 0.5000 0.5000 0.0000
Pd 0.0000 0.0000 0.5000
Pd 0.0000 0.5000 0.8696
Pd 0.5000 0.0000 0.1304
Pd 0.5000 0.5000 0.5000

Most intense lines, 10° ≤ 2θ ≤ 90°, sorted by position:
2theta	Rel. int.
21.50	293
27.93	200
32.94	664
33.07	1000
39.90	539
48.93	237
52.67	357
57.71	183
64.91	205
68.13	333